1.
Computed powder XRD pattern of YC4O8 for Cu Kα, 1.54184 Å, from a PBE-relaxed structure.

Peak list (10 most intense, 2θ = 10–80°, by angle)
14.55 deg, d = 6.089 Å, rel. 100; 16.65 deg, d = 5.325 Å, rel. 7; 22.18 deg, d = 4.009 Å, rel. 30; 26.62 deg, d = 3.348 Å, rel. 30; 29.34 deg, d = 3.044 Å, rel. 27; 37.08 deg, d = 2.424 Å, rel. 18; 39.81 deg, d = 2.265 Å, rel. 19; 44.65 deg, d = 2.030 Å, rel. 12; 47.77 deg, d = 1.904 Å, rel. 20; 50.40 deg, d = 1.811 Å, rel. 10

Structural model:
Cell lengths 8.611, 8.611, 5.325 Å; angles 90.00, 90.00, 90.00 degrees
Atoms (fractional coordinates):
Y 0.250 0.750 0.000
Y 0.750 0.250 0.000
C 0.010 0.985 0.347
C 0.015 0.510 0.653
C 0.485 0.990 0.653
C 0.490 0.515 0.347
C 0.510 0.485 0.653
C 0.515 0.010 0.347
C 0.985 0.490 0.347
C 0.990 0.015 0.653
O 0.063 0.577 0.208
O 0.077 0.937 0.792
O 0.111 0.887 0.294
O 0.113 0.611 0.706
O 0.387 0.889 0.706
O 0.389 0.613 0.294
O 0.423 0.563 0.792
O 0.437 0.923 0.208
O 0.563 0.077 0.792
O 0.577 0.437 0.208
O 0.611 0.387 0.706
O 0.613 0.111 0.294
O 0.887 0.389 0.294
O 0.889 0.113 0.706
O 0.923 0.063 0.208
O 0.937 0.423 0.792

=====

2.
Computed powder XRD pattern of YC3O8 for Cu Kα, 1.54184 Å, from a PBE-relaxed structure.

Peak list (10 most intense, 2θ = 10–80°, by angle)
14.05 deg, d = 6.304 Å, rel. 33; 15.65 deg, d = 5.662 Å, rel. 100; 17.17 deg, d = 5.163 Å, rel. 33; 21.09 deg, d = 4.212 Å, rel. 33; 24.31 deg, d = 3.661 Å, rel. 33; 24.45 deg, d = 3.641 Å, rel. 18; 27.27 deg, d = 3.270 Å, rel. 17; 28.30 deg, d = 3.154 Å, rel. 16; 31.61 deg, d = 2.830 Å, rel. 15; 32.44 deg, d = 2.760 Å, rel. 16

Structural model:
Cell lengths 7.286, 8.994, 12.608 Å; angles 90.00, 90.00, 90.00 degrees
Atoms (fractional coordinates):
Y 0.247 0.041 0.203
Y 0.253 0.959 0.703
Y 0.747 0.459 0.797
Y 0.753 0.541 0.297
C 0.027 0.642 0.748
C 0.048 0.288 0.458
C 0.067 0.798 0.447
C 0.433 0.202 0.947
C 0.452 0.712 0.958
C 0.473 0.358 0.248
C 0.527 0.858 0.252
C 0.548 0.212 0.542
C 0.567 0.702 0.553
C 0.933 0.298 0.053
C 0.952 0.788 0.042
C 0.973 0.142 0.752
O 0.006 0.207 0.105
O 0.025 0.865 0.105
O 0.046 0.523 0.806
O 0.070 0.022 0.336
O 0.121 0.220 0.525
O 0.130 0.159 0.801
O 0.143 0.870 0.511
O 0.157 0.738 0.742
O 0.343 0.262 0.242
O 0.357 0.130 0.011
O 0.370 0.841 0.301
O 0.379 0.780 0.025
O 0.430 0.978 0.836
O 0.454 0.477 0.306
O 0.475 0.135 0.605
O 0.494 0.793 0.605
O 0.506 0.293 0.895
O 0.525 0.635 0.895
O 0.546 0.977 0.194
O 0.570 0.478 0.664
O 0.621 0.280 0.475
O 0.630 0.341 0.199
O 0.643 0.630 0.489
O 0.657 0.762 0.258
O 0.843 0.238 0.758
O 0.857 0.370 0.989
O 0.870 0.659 0.699
O 0.879 0.720 0.975
O 0.930 0.522 0.164
O 0.954 0.023 0.694
O 0.975 0.365 0.395
O 0.994 0.707 0.395

=====

3.
Computed powder XRD pattern of OsC for Cu Kα, 1.54184 Å, from a PBE-relaxed structure.

Peak list (8 most intense, 2θ = 10–80°, by angle)
32.80 deg, d = 2.730 Å, rel. 37; 35.15 deg, d = 2.553 Å, rel. 100; 48.84 deg, d = 1.865 Å, rel. 89; 63.07 deg, d = 1.474 Å, rel. 22; 68.77 deg, d = 1.365 Å, rel. 6; 72.94 deg, d = 1.297 Å, rel. 24; 74.31 deg, d = 1.276 Å, rel. 12; 79.64 deg, d = 1.204 Å, rel. 20

Structural model:
Cell lengths 2.948, 2.948, 2.730 Å; angles 90.00, 90.00, 120.00 degrees
Atoms (fractional coordinates):
Os 0.000 0.000 0.000
C 0.667 0.333 0.500

=====

4.
Computed powder XRD pattern of OsC for Cu Kα, 1.54184 Å, from a PBE-relaxed structure.

Peak list (5 most intense, 2θ = 10–80°, by angle)
33.66 deg, d = 2.663 Å, rel. 100; 39.06 deg, d = 2.306 Å, rel. 45; 56.42 deg, d = 1.631 Å, rel. 38; 67.33 deg, d = 1.391 Å, rel. 41; 70.76 deg, d = 1.331 Å, rel. 11

Structural model:
Cell lengths 3.261, 3.261, 3.261 Å; angles 60.00, 60.00, 60.00 degrees
Atoms (fractional coordinates):
Os 0.000 0.000 0.000
C 0.750 0.750 0.750

=====

> What is the formula in the second record?

YC3O8

=====

> Which formula does entry 1 have?

YC4O8